1.
# Na2NbF6
Calculated XRD peak list, Cu Kα (λ = 1.5418 Å). Input: a structure optimized by DFT (GGA-PBE).
Intensities are scaled so that the largest is 100.

Cell and atoms:
Cell: 5.122 5.122 10.463 Å, 90.00 90.00 90.00°
Space group P4_2/mnm (No. 136)
Asymmetric unit:
Na  0.000  0.000  0.168 (multiplicity 4)
Nb  0.000  0.000  0.500 (multiplicity 2)
F  0.186  0.186  0.353 (multiplicity 8)
F  0.227  0.227  0.000 (multiplicity 4)

Most intense lines, 2θ = 10–90°, low angle first:
- 16.95 deg, d 5.232, I 37.2, hkl 0 0 2
- 19.29 deg, d 4.600, I 100.0, hkl 1 0 1
- 24.58 deg, d 3.622, I 95.5, hkl 1 1 0
- 31.02 deg, d 2.883, I 49.5, hkl 1 0 3
- 35.74 deg, d 2.512, I 28.7, hkl 1 1 3
- 47.49 deg, d 1.915, I 68.9, hkl 2 1 3
- 50.39 deg, d 1.811, I 24.5, hkl 2 2 0
- 60.36 deg, d 1.533, I 27.0, hkl 3 0 3

***

2.
# NaNdTiNbO6F
Calculated XRD peak list, Cu Kα (λ = 1.5418 Å). Input: a structure optimized by DFT (GGA-PBE).
Intensities are scaled so that the largest is 100.

Cell and atoms:
Cell: 7.227 7.598 10.342 Å, 90.00 90.00 90.00°
Space group Imma (No. 74)
Asymmetric unit:
Na  0.250  0.250  0.250 (multiplicity 4)
Nd  0.000  0.000  0.000 (multiplicity 4)
Ti  0.250  0.250  0.750 (multiplicity 4)
Nb  0.000  0.000  0.500 (multiplicity 4)
O  0.000  0.250  0.433 (multiplicity 4)
O  0.000  0.250  0.829 (multiplicity 4)
O  0.206  0.060  0.623 (multiplicity 16)
F  0.000  0.250  0.127 (multiplicity 4)

Most intense lines, 2θ = 10–90°, low angle first:
- 17.15 deg, d 5.171, I 53.4, hkl 0 0 2
- 29.17 deg, d 3.062, I 100.0, hkl 0 2 2
- 30.17 deg, d 2.962, I 91.5, hkl 2 0 2
- 34.25 deg, d 2.618, I 31.3, hkl 2 2 0
- 38.54 deg, d 2.336, I 26.6, hkl 2 2 2
- 49.55 deg, d 1.840, I 63.9, hkl 2 2 4
- 57.65 deg, d 1.599, I 28.0, hkl 2 4 2
- 59.40 deg, d 1.556, I 38.5, hkl 2 0 6

***

Please write out number 1 again, unchanged.
# Na2NbF6
Calculated XRD peak list, Cu Kα (λ = 1.5418 Å). Input: a structure optimized by DFT (GGA-PBE).
Intensities are scaled so that the largest is 100.

Cell and atoms:
Cell: 5.122 5.122 10.463 Å, 90.00 90.00 90.00°
Space group P4_2/mnm (No. 136)
Asymmetric unit:
Na  0.000  0.000  0.168 (multiplicity 4)
Nb  0.000  0.000  0.500 (multiplicity 2)
F  0.186  0.186  0.353 (multiplicity 8)
F  0.227  0.227  0.000 (multiplicity 4)

Most intense lines, 2θ = 10–90°, low angle first:
- 16.95 deg, d 5.232, I 37.2, hkl 0 0 2
- 19.29 deg, d 4.600, I 100.0, hkl 1 0 1
- 24.58 deg, d 3.622, I 95.5, hkl 1 1 0
- 31.02 deg, d 2.883, I 49.5, hkl 1 0 3
- 35.74 deg, d 2.512, I 28.7, hkl 1 1 3
- 47.49 deg, d 1.915, I 68.9, hkl 2 1 3
- 50.39 deg, d 1.811, I 24.5, hkl 2 2 0
- 60.36 deg, d 1.533, I 27.0, hkl 3 0 3